Diffraction record for CoH12Br2O6. The X-ray powder pattern is computed, not measured: it uses a DFT-relaxed cell (GGA+U, OQMD) and copper Kα.
Neutral-atom scattering factors, no anomalous dispersion.

Principal peaks in the range 5° ≤ 2θ ≤ 70°, by intensity:
- 2θ 18.28, 4.852 Å, I 100.0
- 2θ 30.65, 2.917 Å, I 56.8
- 2θ 33.56, 2.671 Å, I 39.4
- 2θ 16.17, 5.482 Å, I 38.2
- 2θ 25.61, 3.479 Å, I 36.5
- 2θ 33.00, 2.714 Å, I 27.8
- 2θ 34.36, 2.610 Å, I 27.3
- 2θ 31.61, 2.830 Å, I 23.7
- 2θ 48.41, 1.880 Å, I 23.5
- 2θ 44.22, 2.048 Å, I 20.4
- 2θ 43.38, 2.086 Å, I 18.5
- 2θ 37.05, 2.426 Å, I 18.3

```
CoH12Br2O6
1.0
5.3656 -3.4790 0.0000
5.3656 3.4790 0.0000
-3.9897 0.0000 5.4820
Co H Br O
1 12 2 6
Direct
0.0000 0.0000 0.0000 Co
0.1810 0.1810 0.5420 H
0.1943 0.5740 0.7207 H
0.2228 0.6857 0.2299 H
0.2674 0.2674 0.8306 H
0.3143 0.7772 0.7701 H
0.4260 0.8057 0.2793 H
0.5740 0.1943 0.7207 H
0.6857 0.2228 0.2299 H
0.7326 0.7326 0.1694 H
0.7772 0.3143 0.7701 H
0.8057 0.4260 0.2793 H
0.8190 0.8190 0.4580 H
0.2908 0.2908 0.1792 Br
0.7092 0.7092 0.8208 Br
0.1583 0.7517 0.7437 O
0.2483 0.8417 0.2563 O
0.2835 0.2835 0.7002 O
0.7165 0.7165 0.2998 O
0.7517 0.1583 0.7437 O
0.8417 0.2483 0.2563 O
```